Entry 1:
# NbAlCuTc
Theoretical powder X-ray diffraction pattern, Cu Kα (weighted mean of Kα1 and Kα2). Input: a PBE-relaxed structure.
Lines closer than 0.1° are merged.

The 10 most intense peaks (15 to 90 degrees two-theta), in order of rising 2θ:
| 2θ/deg | I_rel | h k l |
| --- | --- | --- |
| 24.82 | 17.2 | 1 1 1 |
| 28.74 | 3.5 | 2 0 0 |
| 41.10 | 100.0 | 2 2 0 |
| 48.61 | 8.2 | 3 1 1 |
| 59.52 | 16.1 | 4 0 0 |
| 65.49 | 3.3 | 3 3 1 |
| 67.42 | 1.0 | 4 2 0 |
| 74.88 | 31.8 | 4 2 2 |
| 80.31 | 2.5 | 5 1 1 |
| 89.17 | 10.3 | 4 4 0 |

Structure:
```
data_NbAlCuTc
_space_group_name_H-M_alt 'F -4 3 m'
_space_group_IT_number 216
_space_group_name_Hall 'F -4 2 3'
_cell_length_a 6.2122
_cell_length_b 6.2122
_cell_length_c 6.2122
_cell_angle_alpha 90.00
_cell_angle_beta 90.00
_cell_angle_gamma 90.00
loop_
_atom_site_label
_atom_site_fract_x
_atom_site_fract_y
_atom_site_fract_z
Nb1 0.0000 0.0000 0.0000
Al1 0.0000 0.0000 0.5000
Cu1 0.2500 0.2500 0.2500
Tc1 0.2500 0.2500 0.7500
```

---

Entry 2:
# Cu2Hg2Cl7
Theoretical powder X-ray diffraction pattern, Cu Kα (weighted mean of Kα1 and Kα2). Input: a PBE-relaxed structure.
Lines closer than 0.1° are merged.

The 10 most intense peaks (15 to 90 degrees two-theta), in order of rising 2θ:
| 2θ/deg | I_rel | h k l |
| --- | --- | --- |
| 15.48 | 100.0 | 1 1 0 |
| 20.35 | 73.8 | 1 1 1 |
| 21.73 | 77.4 | 1 2 -1 |
| 23.10 | 81.0 | 0 1 2 |
| 26.22 | 51.8 | 1 3 0 |
| 31.91 | 44.6 | 0 4 1 |
| 32.77 | 38.3 | 2 1 -2 |
| 38.41 | 37.6 | 2 0 2 |
| 43.88 | 38.6 | 2 4 1 |
| 47.28 | 39.4 | 2 5 -1 |

Structure:
```
data_Cu2Hg2Cl7
_space_group_name_H-M_alt 'P 1 21/c 1'
_space_group_IT_number 14
_space_group_name_Hall '-P 2ybc'
_cell_length_a 6.6336
_cell_length_b 11.9452
_cell_length_c 8.2742
_cell_angle_alpha 90.00
_cell_angle_beta 100.53
_cell_angle_gamma 90.00
loop_
_atom_site_label
_atom_site_fract_x
_atom_site_fract_y
_atom_site_fract_z
Cu1 0.1696 0.0874 0.3300
Hg1 0.3199 0.7006 0.6444
Cl1 0.0000 0.0000 0.5000
Cl2 0.0619 0.7202 0.3039
Cl3 0.3141 0.0098 0.1306
Cl4 0.4323 0.1931 0.4911
```

---

Entry 3:
# AcSn4Au12
Theoretical powder X-ray diffraction pattern, Cu Kα (weighted mean of Kα1 and Kα2). Input: a PBE-relaxed structure.
Lines closer than 0.1° are merged.

The 10 most intense peaks (15 to 90 degrees two-theta), in order of rising 2θ:
| 2θ/deg | I_rel | h k l |
| --- | --- | --- |
| 29.93 | 100.0 | 3 1 0 |
| 35.58 | 38.0 | 3 2 1 |
| 42.84 | 18.9 | 4 0 2 |
| 47.16 | 20.1 | 4 2 2 |
| 49.22 | 45.1 | 4 1 3 |
| 58.68 | 9.5 | 6 0 0 |
| 67.27 | 13.5 | 6 3 1 |
| 68.91 | 9.6 | 4 4 4 |
| 76.91 | 11.8 | 7 0 3 |
| 89.25 | 20.0 | 7 3 4 |

Structure:
```
data_AcSn4Au12
_space_group_name_H-M_alt 'I m -3'
_space_group_IT_number 204
_space_group_name_Hall '-I 2 2 3'
_cell_length_a 9.4402
_cell_length_b 9.4402
_cell_length_c 9.4402
_cell_angle_alpha 90.00
_cell_angle_beta 90.00
_cell_angle_gamma 90.00
loop_
_atom_site_label
_atom_site_fract_x
_atom_site_fract_y
_atom_site_fract_z
Ac1 0.0000 0.0000 0.0000
Sn1 0.2500 0.2500 0.2500
Au1 0.0000 0.1458 0.3504
```